This entry pairs a crystal structure of CsLiGeTe2 with its simulated PXRD pattern. Radiation: Cu Kα, 1.54184 Å. Structure: the GGA-PBE geometry in Alexandria.

Principal peaks in the range 5° ≤ 2θ ≤ 70°, in order of rising 2θ:
| 2θ/deg | Rel. int. |
| --- | --- |
| 24.4 | 16 |
| 25.2 | 100 |
| 32.1 | 22 |
| 32.5 | 12 |
| 39.4 | 16 |
| 43.4 | 17 |
| 51.7 | 14 |
| 53.2 | 13 |

Crystal structure
abc: 9.237 9.237 7.308
angles: 90.00 90.00 144.84
Positions (direct):
Cs (0.250, 0.750, 0.762)
Cs (0.750, 0.250, 0.238)
Li (0.250, 0.250, 0.500)
Li (0.750, 0.750, 0.500)
Ge (0.000, 0.000, 0.000)
Ge (0.500, 0.500, 0.000)
Te (0.105, 0.895, 0.286)
Te (0.395, 0.605, 0.286)
Te (0.605, 0.395, 0.714)
Te (0.895, 0.105, 0.714)



This entry pairs a crystal structure of Cs2MgGe3Se8 with its simulated PXRD pattern. Radiation: Cu Kα, 1.54184 Å. Structure: the GGA-PBE geometry in Alexandria.

Principal peaks in the range 5° ≤ 2θ ≤ 70°, in order of rising 2θ:
| 2θ/deg | Rel. int. |
| --- | --- |
| 12.8 | 26 |
| 19.8 | 31 |
| 24.4 | 31 |
| 25.8 | 60 |
| 26.7 | 32 |
| 27.9 | 100 |
| 30.5 | 28 |
| 55.2 | 34 |

Crystal structure
abc: 7.795 13.815 18.026
angles: 90.00 90.00 90.00
Positions (direct):
Cs (0.219, 0.206, 0.349)
Cs (0.241, 0.131, 0.943)
Cs (0.259, 0.869, 0.443)
Cs (0.281, 0.794, 0.849)
Cs (0.719, 0.294, 0.651)
Cs (0.741, 0.369, 0.057)
Cs (0.759, 0.631, 0.557)
Cs (0.781, 0.706, 0.151)
Mg (0.016, 0.998, 0.650)
Mg (0.484, 0.002, 0.150)
Mg (0.516, 0.502, 0.350)
Mg (0.984, 0.498, 0.850)
Ge (0.014, 0.529, 0.349)
Ge (0.233, 0.551, 0.681)
Ge (0.240, 0.549, 0.021)
Ge (0.260, 0.451, 0.521)
Ge (0.267, 0.449, 0.181)
Ge (0.486, 0.471, 0.849)
Ge (0.514, 0.971, 0.651)
Ge (0.733, 0.949, 0.319)
Ge (0.740, 0.951, 0.979)
Ge (0.760, 0.049, 0.479)
Ge (0.767, 0.051, 0.819)
Ge (0.986, 0.029, 0.151)
Se (0.001, 0.916, 0.046)
Se (0.005, 0.118, 0.761)
Se (0.005, 0.920, 0.259)
Se (0.013, 0.108, 0.532)
Se (0.213, 0.382, 0.643)
Se (0.233, 0.127, 0.150)
Se (0.233, 0.380, 0.058)
Se (0.238, 0.376, 0.847)
Se (0.262, 0.624, 0.347)
Se (0.267, 0.620, 0.558)
Se (0.267, 0.873, 0.650)
Se (0.287, 0.618, 0.143)
Se (0.487, 0.892, 0.032)
Se (0.495, 0.080, 0.759)
Se (0.495, 0.882, 0.261)
Se (0.499, 0.084, 0.546)
Se (0.501, 0.584, 0.954)
Se (0.505, 0.382, 0.239)
Se (0.505, 0.580, 0.741)
Se (0.513, 0.392, 0.468)
Se (0.713, 0.118, 0.357)
Se (0.733, 0.120, 0.942)
Se (0.733, 0.373, 0.850)
Se (0.738, 0.124, 0.153)
Se (0.762, 0.876, 0.653)
Se (0.767, 0.627, 0.350)
Se (0.767, 0.880, 0.442)
Se (0.787, 0.882, 0.857)
Se (0.987, 0.608, 0.968)
Se (0.995, 0.420, 0.241)
Se (0.995, 0.618, 0.739)
Se (0.999, 0.416, 0.454)



This entry pairs a crystal structure of Cs2MnGeSe4 with its simulated PXRD pattern. Radiation: Cu Kα, 1.54184 Å. Structure: the GGA-PBE geometry in Alexandria.

Principal peaks in the range 5° ≤ 2θ ≤ 70°, in order of rising 2θ:
| 2θ/deg | Rel. int. |
| --- | --- |
| 13.6 | 23 |
| 23.9 | 43 |
| 25.4 | 100 |
| 27.5 | 21 |
| 28.9 | 65 |
| 29.4 | 20 |
| 35.5 | 40 |
| 47.4 | 30 |

Crystal structure
abc: 14.890 13.350 7.935
angles: 84.73 63.23 32.05
Positions (direct):
Cs (0.055, 0.055, 0.695)
Cs (0.305, 0.305, 0.945)
Cs (0.695, 0.695, 0.055)
Cs (0.945, 0.945, 0.305)
Mn (0.125, 0.125, 0.125)
Mn (0.875, 0.875, 0.875)
Ge (0.375, 0.375, 0.375)
Ge (0.625, 0.625, 0.625)
Se (0.002, 0.351, 0.436)
Se (0.288, 0.564, 0.649)
Se (0.351, 0.002, 0.712)
Se (0.436, 0.712, 0.002)
Se (0.564, 0.288, 0.998)
Se (0.649, 0.998, 0.288)
Se (0.712, 0.436, 0.351)
Se (0.998, 0.649, 0.564)



This entry pairs a crystal structure of CsNa2Ge17 with its simulated PXRD pattern. Radiation: Cu Kα, 1.54184 Å. Structure: the GGA-PBE geometry in Alexandria.

Principal peaks in the range 5° ≤ 2θ ≤ 70°, in order of rising 2θ:
| 2θ/deg | Rel. int. |
| --- | --- |
| 22.5 | 21 |
| 27.6 | 37 |
| 29.3 | 73 |
| 32.0 | 36 |
| 33.5 | 32 |
| 47.0 | 33 |
| 48.9 | 100 |
| 49.9 | 24 |

Crystal structure
abc: 11.183 11.183 11.183
angles: 60.00 60.00 60.00
Positions (direct):
Cs (0.125, 0.125, 0.125)
Cs (0.875, 0.875, 0.875)
Na (0.000, 0.500, 0.500)
Na (0.500, 0.000, 0.500)
Na (0.500, 0.500, 0.000)
Na (0.500, 0.500, 0.500)
Ge (0.130, 0.130, 0.505)
Ge (0.130, 0.130, 0.735)
Ge (0.130, 0.505, 0.130)
Ge (0.130, 0.505, 0.735)
Ge (0.130, 0.735, 0.130)
Ge (0.130, 0.735, 0.505)
Ge (0.265, 0.495, 0.870)
Ge (0.265, 0.870, 0.495)
Ge (0.265, 0.870, 0.870)
Ge (0.283, 0.283, 0.283)
Ge (0.283, 0.283, 0.652)
Ge (0.283, 0.652, 0.283)
Ge (0.348, 0.717, 0.717)
Ge (0.375, 0.375, 0.375)
Ge (0.495, 0.265, 0.870)
Ge (0.495, 0.870, 0.265)
Ge (0.495, 0.870, 0.870)
Ge (0.505, 0.130, 0.130)
Ge (0.505, 0.130, 0.735)
Ge (0.505, 0.735, 0.130)
Ge (0.625, 0.625, 0.625)
Ge (0.652, 0.283, 0.283)
Ge (0.717, 0.348, 0.717)
Ge (0.717, 0.717, 0.348)
Ge (0.717, 0.717, 0.717)
Ge (0.735, 0.130, 0.130)
Ge (0.735, 0.130, 0.505)
Ge (0.735, 0.505, 0.130)
Ge (0.870, 0.265, 0.495)
Ge (0.870, 0.265, 0.870)
Ge (0.870, 0.495, 0.265)
Ge (0.870, 0.495, 0.870)
Ge (0.870, 0.870, 0.265)
Ge (0.870, 0.870, 0.495)



This entry pairs a crystal structure of CsNaGe with its simulated PXRD pattern. Radiation: Cu Kα, 1.54184 Å. Structure: the GGA-PBE geometry in Alexandria.

Principal peaks in the range 5° ≤ 2θ ≤ 70°, in order of rising 2θ:
| 2θ/deg | Rel. int. |
| --- | --- |
| 20.8 | 37 |
| 23.2 | 100 |
| 24.6 | 58 |
| 24.8 | 61 |
| 32.4 | 49 |
| 32.5 | 94 |
| 33.4 | 24 |
| 48.5 | 30 |

Crystal structure
abc: 8.737 8.737 8.550
angles: 90.00 90.00 130.96
Positions (direct):
Cs (0.190, 0.810, 0.920)
Cs (0.310, 0.690, 0.420)
Cs (0.690, 0.310, 0.580)
Cs (0.810, 0.190, 0.080)
Na (0.222, 0.278, 0.750)
Na (0.278, 0.222, 0.250)
Na (0.722, 0.778, 0.750)
Na (0.778, 0.722, 0.250)
Ge (0.077, 0.923, 0.518)
Ge (0.423, 0.577, 0.018)
Ge (0.577, 0.423, 0.982)
Ge (0.923, 0.077, 0.482)



This entry pairs a crystal structure of CsNaGe with its simulated PXRD pattern. Radiation: Cu Kα, 1.54184 Å. Structure: the GGA-PBE geometry in Alexandria.

Principal peaks in the range 5° ≤ 2θ ≤ 70°, in order of rising 2θ:
| 2θ/deg | Rel. int. |
| --- | --- |
| 22.8 | 100 |
| 23.2 | 96 |
| 25.4 | 26 |
| 32.3 | 81 |
| 32.5 | 66 |
| 40.3 | 44 |
| 46.5 | 57 |
| 51.2 | 29 |

Crystal structure
abc: 5.505 5.505 16.059
angles: 90.00 90.00 90.00
Positions (direct):
Cs (0.000, 0.000, 0.187)
Cs (0.000, 0.000, 0.813)
Cs (0.500, 0.500, 0.313)
Cs (0.500, 0.500, 0.687)
Na (0.000, 0.500, 0.000)
Na (0.000, 0.500, 0.500)
Na (0.500, 0.000, 0.000)
Na (0.500, 0.000, 0.500)
Ge (0.000, 0.000, 0.421)
Ge (0.000, 0.000, 0.579)
Ge (0.500, 0.500, 0.079)
Ge (0.500, 0.500, 0.921)



This entry pairs a crystal structure of CsNaGeTe2 with its simulated PXRD pattern. Radiation: Cu Kα, 1.54184 Å. Structure: the GGA-PBE geometry in Alexandria.

Principal peaks in the range 5° ≤ 2θ ≤ 70°, in order of rising 2θ:
| 2θ/deg | Rel. int. |
| --- | --- |
| 23.9 | 18 |
| 24.4 | 100 |
| 26.0 | 15 |
| 29.7 | 25 |
| 32.0 | 28 |
| 42.3 | 22 |
| 49.6 | 14 |
| 61.6 | 17 |

Crystal structure
abc: 9.245 9.245 7.445
angles: 90.00 90.00 142.03
Positions (direct):
Cs (0.250, 0.750, 0.765)
Cs (0.750, 0.250, 0.235)
Na (0.250, 0.250, 0.500)
Na (0.750, 0.750, 0.500)
Ge (0.000, 0.000, 0.000)
Ge (0.500, 0.500, 0.000)
Te (0.116, 0.884, 0.258)
Te (0.384, 0.616, 0.258)
Te (0.616, 0.384, 0.742)
Te (0.884, 0.116, 0.742)



This entry pairs a crystal structure of Cs3Nd3GeO8 with its simulated PXRD pattern. Radiation: Cu Kα, 1.54184 Å. Structure: the GGA-PBE geometry in Alexandria.

Principal peaks in the range 5° ≤ 2θ ≤ 70°, in order of rising 2θ:
| 2θ/deg | Rel. int. |
| --- | --- |
| 16.7 | 21 |
| 25.5 | 51 |
| 30.4 | 83 |
| 33.9 | 100 |
| 45.5 | 36 |
| 51.6 | 30 |
| 52.9 | 25 |
| 58.4 | 32 |

Crystal structure
abc: 8.102 8.102 8.102
angles: 51.84 51.84 51.84
Positions (direct):
Cs (0.000, 0.500, 0.500)
Cs (0.500, 0.000, 0.500)
Cs (0.500, 0.500, 0.000)
Nd (0.000, 0.000, 0.500)
Nd (0.000, 0.500, 0.000)
Nd (0.500, 0.000, 0.000)
Ge (0.500, 0.500, 0.500)
O (0.222, 0.222, 0.222)
O (0.266, 0.694, 0.694)
O (0.306, 0.306, 0.734)
O (0.306, 0.734, 0.306)
O (0.694, 0.266, 0.694)
O (0.694, 0.694, 0.266)
O (0.734, 0.306, 0.306)
O (0.778, 0.778, 0.778)